Theoretical XRD peak list
Compound: Pu6FeSb10
Radiation: λ = 1.5418 Å (Cu Kα)
Structure: a crystal structure in Alexandria, relaxed with GGA-PBE
Peak positions follow from Bragg's law for the DFT cell and can differ from measured ones.

Crystal structure
abc: 9.0909 9.0909 6.0993
angles: 90.00 90.00 120.00
Positions (direct):
1 Pu 0.0000 0.3861 0.2536
2 Pu 0.0000 0.6139 0.7464
3 Pu 0.3861 0.0000 0.2536
4 Pu 0.3861 0.3861 0.7464
5 Pu 0.6139 0.0000 0.7464
6 Pu 0.6139 0.6139 0.2536
7 Fe 0.0000 0.0000 0.5000
8 Sb 0.0000 0.2414 0.7590
9 Sb 0.0000 0.7586 0.2410
10 Sb 0.2414 0.0000 0.7590
11 Sb 0.2414 0.2414 0.2410
12 Sb 0.3333 0.6667 0.0000
13 Sb 0.3333 0.6667 0.5000
14 Sb 0.6667 0.3333 0.0000
15 Sb 0.6667 0.3333 0.5000
16 Sb 0.7586 0.0000 0.2410
17 Sb 0.7586 0.7586 0.7590

Most intense lines, 10° ≤ 2θ ≤ 90°, in order of rising 2θ:
- hkl 1 1 1, 24.42°, rel. 37.3
- hkl 0 0 2, 29.29°, rel. 26.2
- hkl 3 -1 1, 33.51°, rel. 100.0
- hkl 3 0 0, 34.17°, rel. 60.2
- hkl 1 1 2, 35.45°, rel. 75.5
- hkl 3 1 1, 44.05°, rel. 25.6